Entry 1:
For HfV2F11, the GGA+U geometry in Alexandria gives the calculated powder diffractogram in this record (a wavelength of 1.5418 Å).
Neutral-atom scattering factors, no anomalous dispersion.

Peak list (10 most intense, 2θ = 10–90°, in order of rising 2θ)
d_spacing  2theta  I_rel
5.746  15.4  59
3.827  23.2  100
3.660  24.3  13
3.446  25.9  44
2.976  30.0  15
2.854  31.3  12
1.914  47.5  20
1.908  47.7  20
1.794  50.9  19
1.701  53.9  24

Crystal structure
```
data_HfV2F11
_chemical_formula_sum 'Hf4 V8 F44'
_space_group_name_H-M_alt 'I b a m'
_space_group_IT_number 72
_space_group_name_Hall '-I 2 2c'
_cell_length_a 7.308
_cell_length_b 9.300
_cell_length_c 10.261
_cell_angle_alpha 90.00
_cell_angle_beta 90.00
_cell_angle_gamma 90.00
loop_
_atom_site_label
_atom_site_type_symbol
_atom_site_fract_x
_atom_site_fract_y
_atom_site_fract_z
_atom_site_occupancy
Hf1 Hf 0.000 0.000 0.250 1
V1 V 0.141 0.319 0.000 1
F1 F 0.000 0.500 0.000 1
F2 F 0.094 0.181 0.145 1
F3 F 0.136 0.282 0.500 1
F4 F 0.225 0.068 0.363 1
```

Entry 2:
For HfW4F2, the GGA+U geometry in Alexandria gives the calculated powder diffractogram in this record (a wavelength of 1.5418 Å).
Neutral-atom scattering factors, no anomalous dispersion.

Peak list (10 most intense, 2θ = 10–90°, in order of rising 2θ)
d_spacing  2theta  I_rel
4.922  18.0  35
3.230  27.6  100
3.067  29.1  53
2.687  33.3  99
2.232  40.4  24
2.021  44.8  67
1.900  47.9  36
1.717  53.4  21
1.638  56.2  29
1.615  57.0  34

Crystal structure
```
data_HfW4F2
_chemical_formula_sum 'Hf2 W8 F4'
_space_group_name_H-M_alt 'I 4/m m m'
_space_group_IT_number 139
_space_group_name_Hall '-I 4 2'
_cell_length_a 5.374
_cell_length_b 5.374
_cell_length_c 12.268
_cell_angle_alpha 90.00
_cell_angle_beta 90.00
_cell_angle_gamma 90.00
loop_
_atom_site_label
_atom_site_type_symbol
_atom_site_fract_x
_atom_site_fract_y
_atom_site_fract_z
_atom_site_occupancy
Hf1 Hf 0.000 0.000 0.000 1
W1 W 0.000 0.000 0.230 1
W2 W 0.000 0.500 0.000 1
F1 F 0.000 0.000 0.398 1
```